Computed powder diffraction line list of Ba2VTeO6 for Cu Kα, 1.54184 Å, from a structure optimized by DFT (GGA+U).

Peak list (10 most intense, 10° ≤ 2θ ≤ 90°, in order of falling intensity)
2θ 29.90, rel. 100, (1 1 0); 2θ 27.06, rel. 42, (1 0 7); 2θ 29.47, rel. 30, (0 1 8); 2θ 40.76, rel. 30, (0 2 7); 2θ 22.72, rel. 22, (0 1 5); 2θ 34.63, rel. 21, (1 0 10); 2θ 53.08, rel. 20, (3 0 0); 2θ 62.13, rel. 19, (2 2 0); 2θ 37.88, rel. 18, (2 0 5); 2θ 42.48, rel. 15, (2 0 8)

Atomic structure:
Unit cell a=5.9764 b=5.9764 c=29.9183 alpha=90.00 beta=90.00 gamma=120.00
Space group R-3m (No. 166, hexagonal axes)
Inequivalent atoms, fractional coordinates:
1 Ba 0.0000 0.0000 0.1252 x6
2 Ba 0.0000 0.0000 0.2852 x6
3 V 0.0000 0.0000 0.4073 x6
4 Te 0.0000 0.0000 0.0000 x3
5 Te 0.0000 0.0000 0.5000 x3
6 O 0.9998 0.4999 0.2897 x18
7 O 0.0330 0.5165 0.1266 x18